Record 1
Calculated XRD peak list
Compound: Mg3Zn5Ga2
Radiation: Cu Kα (λ = 1.5418 Å)
Structure: a PBE-relaxed structure

Main lines, in order of rising 2θ (5 to 70 degrees two-theta):
2theta  I_rel
17.9  56
19.1  41
37.9  33
38.1  32
38.7  71
42.7  100
43.1  38
43.6  33

Cell and atoms:
Unit cell a=10.800 b=10.800 c=5.500 alpha=104.59 beta=104.59 gamma=133.53
Element x y z (fractional)
Mg 0.001 0.999 0.750
Mg 0.120 0.572 0.845
Mg 0.428 0.880 0.655
Mg 0.572 0.120 0.345
Mg 0.880 0.428 0.155
Mg 0.999 0.001 0.250
Zn 0.157 0.843 0.750
Zn 0.158 0.842 0.250
Zn 0.185 0.356 0.771
Zn 0.356 0.185 0.271
Zn 0.500 0.500 0.250
Zn 0.500 0.500 0.750
Zn 0.644 0.815 0.729
Zn 0.815 0.644 0.229
Zn 0.842 0.158 0.750
Zn 0.843 0.157 0.250
Ga 0.214 0.461 0.338
Ga 0.461 0.214 0.838
Ga 0.539 0.786 0.162
Ga 0.786 0.539 0.662

***

Record 2
Calculated XRD peak list
Compound: MgZn11Ga
Radiation: Cu Kα (λ = 1.5418 Å)
Structure: a PBE-relaxed structure

Main lines, in order of rising 2θ (5 to 70 degrees two-theta):
2theta  I_rel
20.2  42
39.0  56
39.2  68
40.8  69
41.0  100
44.0  55
44.6  84
45.8  67

Cell and atoms:
Unit cell a=6.738 b=6.738 c=6.820 alpha=98.99 beta=98.99 gamma=132.70
Element x y z (fractional)
Mg 0.000 0.000 0.000
Zn 0.000 0.000 0.500
Zn 0.000 0.500 0.000
Zn 0.014 0.660 0.652
Zn 0.278 0.497 0.785
Zn 0.340 0.986 0.348
Zn 0.497 0.278 0.785
Zn 0.500 0.000 0.000
Zn 0.503 0.722 0.215
Zn 0.660 0.014 0.652
Zn 0.722 0.503 0.215
Zn 0.986 0.340 0.348
Ga 0.500 0.500 0.500